# 1
Calculated XRD peak list
Compound: KBaSc4
Radiation: Cu Kα, 1.54184 Å
Structure: a PBE-relaxed structure
Lines closer than 0.1° are merged.

Atomic structure:
```
KBaSc4
1.0
0.0000 4.7473 4.7473
4.7473 0.0000 4.7473
4.7473 4.7473 0.0000
K Ba Sc
1 1 4
Direct
0.0000 0.0000 0.0000 K
0.2500 0.2500 0.2500 Ba
0.1349 0.6217 0.6217 Sc
0.6217 0.1349 0.6217 Sc
0.6217 0.6217 0.1349 Sc
0.6217 0.6217 0.6217 Sc
```

The 10 most intense peaks (10° ≤ 2θ ≤ 90°), in order of falling intensity:
| d/Å | 2theta | I (rel.) |
| --- | --- | --- |
| 2.863 | 31.24 | 100.0 |
| 3.357 | 26.55 | 46.6 |
| 1.827 | 49.91 | 33.1 |
| 2.741 | 32.67 | 24.3 |
| 1.678 | 54.69 | 23.3 |
| 1.236 | 77.17 | 20.1 |
| 1.938 | 46.88 | 18.8 |
| 5.482 | 16.17 | 18.3 |
| 4.747 | 18.69 | 11.7 |
| 1.448 | 64.34 | 11.2 |

---

# 2
Calculated XRD peak list
Compound: RbZr2InRe
Radiation: Cu Kα, 1.54184 Å
Structure: a PBE-relaxed structure
Lines closer than 0.1° are merged.

Atomic structure:
```
RbZr2InRe
1.0
4.9742 0.0000 0.0000
0.0000 4.9742 0.0000
0.0000 0.0000 4.7898
Rb Zr In Re
1 2 1 1
Direct
0.0000 0.0000 0.0000 Rb
0.0000 0.5000 0.0000 Zr
0.5000 0.0000 0.0000 Zr
0.5000 0.5000 0.5000 In
0.0000 0.0000 0.5000 Re
```

The 10 most intense peaks (10° ≤ 2θ ≤ 90°), in order of falling intensity:
| d/Å | 2theta | I (rel.) |
| --- | --- | --- |
| 2.835 | 31.56 | 100.0 |
| 2.487 | 36.11 | 71.3 |
| 1.725 | 53.09 | 46.5 |
| 2.395 | 37.56 | 32.0 |
| 4.974 | 17.83 | 29.1 |
| 1.494 | 62.11 | 28.1 |
| 1.759 | 52.00 | 24.7 |
| 1.418 | 65.89 | 24.0 |
| 3.517 | 25.32 | 21.6 |
| 1.454 | 64.05 | 12.8 |

---

# 3
Calculated XRD peak list
Compound: KSi2BO6
Radiation: Cu Kα, 1.54184 Å
Structure: a PBE-relaxed structure
Lines closer than 0.1° are merged.

Atomic structure:
```
KSi2BO6
1.0
4.7829 0.0000 0.0000
0.0000 10.1074 0.0000
0.0000 0.0000 10.5728
K Si B O
4 8 4 24
Direct
0.2035 0.0344 0.3100 K
0.2965 0.9656 0.8100 K
0.7035 0.4656 0.6900 K
0.7965 0.5344 0.1900 K
0.2143 0.3909 0.4353 Si
0.2341 0.3021 0.9248 Si
0.2659 0.6979 0.4248 Si
0.2857 0.6091 0.9353 Si
0.7143 0.1091 0.5647 Si
0.7341 0.1979 0.0752 Si
0.7659 0.8021 0.5752 Si
0.7857 0.8909 0.0647 Si
0.2110 0.2317 0.6571 B
0.2890 0.7683 0.1571 B
0.7110 0.2683 0.3429 B
0.7890 0.7317 0.8429 B
0.0104 0.3064 0.3421 O
0.0249 0.8025 0.4731 O
0.0421 0.1220 0.6054 O
0.1181 0.2563 0.7889 O
0.1290 0.5495 0.4216 O
0.1701 0.3566 0.5854 O
0.3299 0.6434 0.0854 O
0.3710 0.4505 0.9216 O
0.3819 0.7437 0.2889 O
0.4579 0.8780 0.1054 O
0.4751 0.1975 0.9731 O
0.4896 0.6936 0.8421 O
0.5104 0.1936 0.6579 O
0.5249 0.6975 0.5269 O
0.5421 0.3780 0.3946 O
0.6181 0.2437 0.2111 O
0.6290 0.9505 0.5784 O
0.6701 0.1434 0.4146 O
0.8299 0.8566 0.9146 O
0.8710 0.0495 0.0784 O
0.8819 0.7563 0.7111 O
0.9579 0.6220 0.8946 O
0.9751 0.3025 0.0269 O
0.9896 0.8064 0.1579 O
```

The 10 most intense peaks (10° ≤ 2θ ≤ 90°), in order of falling intensity:
| d/Å | 2theta | I (rel.) |
| --- | --- | --- |
| 3.347 | 26.64 | 100.0 |
| 3.547 | 25.11 | 69.5 |
| 3.210 | 27.79 | 41.2 |
| 2.754 | 32.51 | 40.6 |
| 2.557 | 35.09 | 37.2 |
| 2.665 | 33.62 | 35.0 |
| 4.002 | 22.22 | 33.4 |
| 2.841 | 31.49 | 26.8 |
| 2.330 | 38.64 | 25.3 |
| 3.328 | 26.79 | 22.8 |

---

# 4
Calculated XRD peak list
Compound: RbYPd2
Radiation: Cu Kα, 1.54184 Å
Structure: a PBE-relaxed structure
Lines closer than 0.1° are merged.

Atomic structure:
```
RbYPd2
1.0
0.0000 3.6484 3.6484
3.6484 0.0000 3.6484
3.6484 3.6484 0.0000
Rb Y Pd
1 1 2
Direct
0.0000 0.0000 0.0000 Rb
0.5000 0.5000 0.5000 Y
0.2500 0.2500 0.2500 Pd
0.7500 0.7500 0.7500 Pd
```

The 7 most intense peaks (10° ≤ 2θ ≤ 90°), in order of falling intensity:
| d/Å | 2theta | I (rel.) |
| --- | --- | --- |
| 2.580 | 34.77 | 100.0 |
| 1.489 | 62.34 | 35.5 |
| 1.824 | 50.00 | 17.4 |
| 1.154 | 83.86 | 15.3 |
| 1.290 | 73.41 | 10.8 |
| 3.648 | 24.40 | 1.2 |
| 1.632 | 56.39 | 0.5 |

---

# 5
Calculated XRD peak list
Compound: PaMo2H8
Radiation: Cu Kα, 1.54184 Å
Structure: a PBE-relaxed structure
Lines closer than 0.1° are merged.

Atomic structure:
```
PaMo2H8
1.0
2.7160 -4.4734 0.0000
2.7160 4.4734 0.0000
-0.2121 0.0000 3.4603
Pa Mo H
1 2 8
Direct
0.0000 0.0000 0.0000 Pa
0.3274 0.6726 0.5000 Mo
0.6726 0.3274 0.5000 Mo
0.0238 0.3064 0.5280 H
0.2592 0.7408 0.0000 H
0.3064 0.0238 0.5280 H
0.4076 0.4076 0.2256 H
0.5924 0.5924 0.7744 H
0.6936 0.9762 0.4720 H
0.7408 0.2592 0.0000 H
0.9762 0.6936 0.4720 H
```

The 10 most intense peaks (10° ≤ 2θ ≤ 90°), in order of falling intensity:
| d/Å | 2theta | I (rel.) |
| --- | --- | --- |
| 2.708 | 33.07 | 100.0 |
| 2.613 | 34.32 | 83.5 |
| 2.737 | 32.72 | 61.3 |
| 2.845 | 31.44 | 60.6 |
| 1.880 | 48.42 | 37.7 |
| 4.637 | 19.14 | 33.9 |
| 1.974 | 45.97 | 23.5 |
| 1.546 | 59.84 | 17.4 |
| 1.463 | 63.62 | 14.2 |
| 1.423 | 65.59 | 14.1 |

---

# 6
Calculated XRD peak list
Compound: Dy5Ho3Tl
Radiation: Cu Kα, 1.54184 Å
Structure: a PBE-relaxed structure
Lines closer than 0.1° are merged.

Atomic structure:
```
Dy5Ho3Tl
1.0
5.9939 -5.6725 0.0000
5.9939 5.6725 0.0000
-3.3432 0.0000 9.5154
Dy Ho Tl
10 6 2
Direct
0.0590 0.5777 0.2126 Dy
0.2327 0.7673 0.0000 Dy
0.2391 0.2391 0.0586 Dy
0.2488 0.2488 0.4073 Dy
0.4223 0.9410 0.7874 Dy
0.5777 0.0590 0.2126 Dy
0.7512 0.7512 0.5927 Dy
0.7609 0.7609 0.9414 Dy
0.7673 0.2327 0.0000 Dy
0.9410 0.4223 0.7874 Dy
0.0000 0.0000 0.5000 Ho
0.0011 0.0011 0.8161 Ho
0.4968 0.4968 0.3292 Ho
0.5000 0.5000 0.0000 Ho
0.5032 0.5032 0.6708 Ho
0.9989 0.9989 0.1839 Ho
0.2683 0.2683 0.7315 Tl
0.7317 0.7317 0.2685 Tl
```

The 10 most intense peaks (10° ≤ 2θ ≤ 90°), in order of falling intensity:
| d/Å | 2theta | I (rel.) |
| --- | --- | --- |
| 2.835 | 31.56 | 100.0 |
| 2.862 | 31.25 | 57.9 |
| 2.737 | 32.72 | 57.3 |
| 5.672 | 15.62 | 52.2 |
| 2.330 | 38.65 | 40.4 |
| 2.828 | 31.64 | 39.7 |
| 2.531 | 35.47 | 37.5 |
| 2.261 | 39.87 | 33.2 |
| 2.002 | 45.29 | 29.2 |
| 2.648 | 33.85 | 19.7 |

---

# 7
Calculated XRD peak list
Compound: Sr2Hg3Pd5
Radiation: Cu Kα, 1.54184 Å
Structure: a PBE-relaxed structure
Lines closer than 0.1° are merged.

Atomic structure:
```
Sr2Hg3Pd5
1.0
-5.9570 6.2873 3.0194
5.9570 -6.2873 3.0194
5.9570 6.2873 -3.0194
Sr Hg Pd
4 6 10
Direct
0.2346 0.1254 0.3601 Sr
0.2654 0.6254 0.8908 Sr
0.7346 0.3746 0.1092 Sr
0.7654 0.8746 0.6399 Sr
0.1414 0.3795 0.5209 Hg
0.2500 0.2500 0.0000 Hg
0.3586 0.8795 0.2380 Hg
0.6414 0.1205 0.7620 Hg
0.7500 0.7500 0.0000 Hg
0.8586 0.6205 0.4791 Hg
0.1447 0.8671 0.0117 Pd
0.2500 0.9998 0.7498 Pd
0.2500 0.5002 0.2502 Pd
0.2500 0.7500 0.5000 Pd
0.3553 0.3671 0.7224 Pd
0.6447 0.6329 0.2776 Pd
0.7500 0.0002 0.2502 Pd
0.7500 0.2500 0.5000 Pd
0.7500 0.4998 0.7498 Pd
0.8553 0.1329 0.9883 Pd
```

The 10 most intense peaks (10° ≤ 2θ ≤ 90°), in order of falling intensity:
| d/Å | 2theta | I (rel.) |
| --- | --- | --- |
| 2.163 | 41.77 | 100.0 |
| 2.120 | 42.64 | 82.1 |
| 2.722 | 32.91 | 69.0 |
| 2.692 | 33.29 | 66.2 |
| 2.981 | 29.98 | 52.2 |
| 4.018 | 22.12 | 48.2 |
| 2.178 | 41.47 | 43.8 |
| 1.509 | 61.43 | 31.8 |
| 1.490 | 62.31 | 30.4 |
| 1.263 | 75.26 | 20.1 |

---

# 8
Calculated XRD peak list
Compound: AcZn9Pd3
Radiation: Cu Kα, 1.54184 Å
Structure: a PBE-relaxed structure
Lines closer than 0.1° are merged.

Atomic structure:
```
AcZn9Pd3
1.0
2.6682 -6.4560 0.0000
2.6682 6.4560 0.0000
-2.5737 0.0000 6.4350
Ac Zn Pd
1 9 3
Direct
0.0000 0.0000 0.0000 Ac
0.0175 0.6583 0.6495 Zn
0.2759 0.5060 0.7719 Zn
0.3417 0.9825 0.3505 Zn
0.4940 0.7241 0.2281 Zn
0.5000 0.5000 0.5000 Zn
0.5060 0.2759 0.7719 Zn
0.6583 0.0175 0.6495 Zn
0.7241 0.4940 0.2281 Zn
0.9825 0.3417 0.3505 Zn
0.0000 0.0000 0.5000 Pd
0.0000 0.5000 0.0000 Pd
0.5000 0.0000 0.0000 Pd
```

The 10 most intense peaks (10° ≤ 2θ ≤ 90°), in order of falling intensity:
| d/Å | 2theta | I (rel.) |
| --- | --- | --- |
| 2.292 | 39.31 | 100.0 |
| 2.279 | 39.55 | 67.7 |
| 2.313 | 38.94 | 43.4 |
| 2.629 | 34.11 | 23.6 |
| 3.216 | 27.74 | 21.5 |
| 3.253 | 27.42 | 18.7 |
| 2.652 | 33.80 | 18.2 |
| 2.269 | 39.72 | 18.2 |
| 2.285 | 39.44 | 17.6 |
| 3.231 | 27.61 | 16.9 |

---

# 9
Calculated XRD peak list
Compound: Ca2Ce2Ir3
Radiation: Cu Kα, 1.54184 Å
Structure: a PBE-relaxed structure
Lines closer than 0.1° are merged.

Atomic structure:
```
Ca2Ce2Ir3
1.0
4.8030 0.0000 0.0000
-2.3879 4.1777 0.0000
-0.0326 -2.7566 8.1773
Ca Ce Ir
2 2 3
Direct
0.1286 0.2563 0.3854 Ca
0.8714 0.7437 0.6146 Ca
0.3785 0.7573 0.1359 Ce
0.6215 0.2427 0.8641 Ce
0.0000 0.0000 0.0000 Ir
0.2592 0.5174 0.7767 Ir
0.7408 0.4826 0.2233 Ir
```

The 10 most intense peaks (10° ≤ 2θ ≤ 90°), in order of falling intensity:
| d/Å | 2theta | I (rel.) |
| --- | --- | --- |
| 8.177 | 10.82 | 100.0 |
| 2.404 | 37.41 | 68.4 |
| 2.474 | 36.32 | 67.6 |
| 2.413 | 37.27 | 34.6 |
| 1.724 | 53.13 | 34.0 |
| 2.463 | 36.48 | 33.3 |
| 2.313 | 38.94 | 14.7 |
| 2.305 | 39.09 | 14.7 |
| 1.405 | 66.55 | 11.5 |
| 3.448 | 25.84 | 11.3 |

---

# 10
Calculated XRD peak list
Compound: NiRu2Pt
Radiation: Cu Kα, 1.54184 Å
Structure: a PBE-relaxed structure
Lines closer than 0.1° are merged.

Atomic structure:
```
NiRu2Pt
1.0
2.7060 0.0000 0.0000
0.0000 2.7060 0.0000
0.0000 0.0000 7.4731
Ni Ru Pt
1 2 1
Direct
0.0000 0.0000 0.0000 Ni
0.0000 0.0000 0.5186 Ru
0.5000 0.5000 0.7615 Ru
0.5000 0.5000 0.2480 Pt
```

The 10 most intense peaks (10° ≤ 2θ ≤ 90°), in order of falling intensity:
| d/Å | 2theta | I (rel.) |
| --- | --- | --- |
| 2.192 | 41.19 | 100.0 |
| 1.913 | 47.52 | 33.4 |
| 1.151 | 84.08 | 24.9 |
| 1.337 | 70.44 | 19.3 |
| 1.868 | 48.74 | 14.8 |
| 7.473 | 11.84 | 14.3 |
| 1.131 | 85.90 | 10.8 |
| 1.096 | 89.42 | 10.6 |
| 1.353 | 69.47 | 10.5 |
| 2.544 | 35.28 | 8.9 |